(1)
Calculated powder X-ray diffraction pattern of DyYCo2 for copper Kα, from a crystal structure in Alexandria, relaxed with GGA-PBE.

Atomic structure:
```
DyYCo2
1.0
3.8676 0.0000 0.0000
0.0000 5.5450 0.0000
0.0000 0.0000 7.5169
Dy Y Co
2 2 4
Direct
0.0000 0.1337 0.0000 Dy
0.0000 0.8663 0.5000 Dy
0.5000 0.3660 0.3560 Y
0.5000 0.6340 0.8560 Y
0.0000 0.3447 0.6520 Co
0.0000 0.6553 0.1520 Co
0.5000 0.1495 0.7056 Co
0.5000 0.8505 0.2056 Co
```

Principal peaks in the range 10° ≤ 2θ ≤ 90°, most intense first:
2θ 33.24, d = 2.695 Å, intensity 100; 2θ 30.59, d = 2.923 Å, intensity 99; 2θ 41.85, d = 2.158 Å, intensity 97; 2θ 34.48, d = 2.601 Å, intensity 93; 2θ 39.46, d = 2.283 Å, intensity 78; 2θ 37.09, d = 2.424 Å, intensity 77; 2θ 46.99, d = 1.934 Å, intensity 46; 2θ 62.99, d = 1.476 Å, intensity 38; 2θ 59.57, d = 1.552 Å, intensity 38; 2θ 60.76, d = 1.524 Å, intensity 34


(2)
Calculated powder X-ray diffraction pattern of Dy12Zn6Co for copper Kα, from a crystal structure in Alexandria, relaxed with GGA-PBE.

Atomic structure:
```
Dy12Zn6Co
1.0
5.8069 3.3526 4.2892
-5.8069 3.3526 4.2892
0.0000 -6.7053 4.2892
Dy Zn Co
12 6 1
Direct
0.0453 0.9271 0.6986 Dy
0.0729 0.3014 0.9547 Dy
0.1871 0.4107 0.5345 Dy
0.3014 0.9547 0.0729 Dy
0.4107 0.5345 0.1871 Dy
0.4655 0.8129 0.5893 Dy
0.5345 0.1871 0.4107 Dy
0.5893 0.4655 0.8129 Dy
0.6986 0.0453 0.9271 Dy
0.8129 0.5893 0.4655 Dy
0.9271 0.6986 0.0453 Dy
0.9547 0.0729 0.3014 Dy
0.1504 0.7601 0.3574 Zn
0.2399 0.6426 0.8496 Zn
0.3574 0.1504 0.7601 Zn
0.6426 0.8496 0.2399 Zn
0.7601 0.3574 0.1504 Zn
0.8496 0.2399 0.6426 Zn
0.5000 0.5000 0.5000 Co
```

Principal peaks in the range 10° ≤ 2θ ≤ 90°, most intense first:
2θ 37.40, d = 2.404 Å, intensity 100; 2θ 32.85, d = 2.726 Å, intensity 99; 2θ 29.15, d = 3.064 Å, intensity 72; 2θ 36.59, d = 2.456 Å, intensity 39; 2θ 35.06, d = 2.559 Å, intensity 38; 2θ 24.42, d = 3.646 Å, intensity 36; 2θ 30.80, d = 2.903 Å, intensity 28; 2θ 42.41, d = 2.131 Å, intensity 20; 2θ 51.06, d = 1.789 Å, intensity 19; 2θ 61.50, d = 1.508 Å, intensity 19


(3)
Calculated powder X-ray diffraction pattern of Dy12ZnCo5 for copper Kα, from a crystal structure in Alexandria, relaxed with GGA-PBE.

Atomic structure:
```
Dy12ZnCo5
1.0
-4.6453 4.6816 4.8837
4.6453 -4.6816 4.8837
4.6453 4.6816 -4.8837
Dy Zn Co
12 1 5
Direct
0.0365 0.2244 0.8121 Dy
0.1801 0.2814 0.4615 Dy
0.1801 0.7186 0.8988 Dy
0.3235 0.0127 0.6891 Dy
0.3235 0.6344 0.3109 Dy
0.4123 0.2244 0.1879 Dy
0.5877 0.7756 0.8121 Dy
0.6765 0.3656 0.6891 Dy
0.6765 0.9873 0.3109 Dy
0.8199 0.2814 0.1012 Dy
0.8199 0.7186 0.5385 Dy
0.9635 0.7756 0.1879 Dy
0.5000 0.5000 0.0000 Zn
0.0000 0.0000 0.0000 Co
0.1142 0.6142 0.5000 Co
0.3463 0.0000 0.3463 Co
0.6537 0.0000 0.6537 Co
0.8858 0.3858 0.5000 Co
```

Principal peaks in the range 10° ≤ 2θ ≤ 90°, most intense first:
2θ 32.77, d = 2.733 Å, intensity 100; 2θ 35.47, d = 2.530 Å, intensity 64; 2θ 34.99, d = 2.564 Å, intensity 55; 2θ 35.86, d = 2.504 Å, intensity 43; 2θ 30.40, d = 2.940 Å, intensity 36; 2θ 61.06, d = 1.518 Å, intensity 33; 2θ 29.05, d = 3.074 Å, intensity 30; 2θ 30.06, d = 2.973 Å, intensity 28; 2θ 35.97, d = 2.497 Å, intensity 27; 2θ 38.77, d = 2.323 Å, intensity 25


(4)
Calculated powder X-ray diffraction pattern of Dy2ZrCo9 for copper Kα, from a crystal structure in Alexandria, relaxed with GGA-PBE.

Atomic structure:
```
Dy2ZrCo9
1.0
2.4432 1.4106 8.1651
-2.4432 1.4106 8.1651
0.0000 -2.8212 8.1651
Dy Zr Co
2 1 9
Direct
0.1390 0.1390 0.1390 Dy
0.8610 0.8610 0.8610 Dy
0.0000 0.0000 0.0000 Zr
0.0788 0.5805 0.5805 Co
0.3342 0.3342 0.3342 Co
0.4195 0.4195 0.9212 Co
0.4195 0.9212 0.4195 Co
0.5000 0.5000 0.5000 Co
0.5805 0.0788 0.5805 Co
0.5805 0.5805 0.0788 Co
0.6658 0.6658 0.6658 Co
0.9212 0.4195 0.4195 Co
```

Principal peaks in the range 10° ≤ 2θ ≤ 90°, most intense first:
2θ 43.15, d = 2.096 Å, intensity 100; 2θ 36.79, d = 2.443 Å, intensity 56; 2θ 33.22, d = 2.697 Å, intensity 51; 2θ 36.21, d = 2.481 Å, intensity 47; 2θ 42.90, d = 2.108 Å, intensity 40; 2θ 46.06, d = 1.971 Å, intensity 24; 2θ 78.26, d = 1.222 Å, intensity 24; 2θ 46.77, d = 1.942 Å, intensity 23; 2θ 70.65, d = 1.333 Å, intensity 21; 2θ 45.35, d = 2.000 Å, intensity 19


(5)
Calculated powder X-ray diffraction pattern of DyZrCo10 for copper Kα, from a crystal structure in Alexandria, relaxed with GGA-PBE.

Atomic structure:
```
DyZrCo10
1.0
3.9588 0.0000 0.0000
0.0000 4.8350 0.0000
0.0000 0.0000 8.3855
Dy Zr Co
1 1 10
Direct
0.0000 0.0000 0.0000 Dy
0.0000 0.5000 0.5000 Zr
0.0000 0.0000 0.3415 Co
0.0000 0.0000 0.6585 Co
0.0000 0.5000 0.1765 Co
0.0000 0.5000 0.8235 Co
0.5000 0.0000 0.5000 Co
0.5000 0.2528 0.2549 Co
0.5000 0.2528 0.7451 Co
0.5000 0.5000 0.0000 Co
0.5000 0.7472 0.2549 Co
0.5000 0.7472 0.7451 Co
```

Principal peaks in the range 10° ≤ 2θ ≤ 90°, most intense first:
2θ 43.86, d = 2.064 Å, intensity 100; 2θ 31.08, d = 2.878 Å, intensity 43; 2θ 43.18, d = 2.095 Å, intensity 34; 2θ 37.17, d = 2.419 Å, intensity 29; 2θ 45.84, d = 1.979 Å, intensity 29; 2θ 71.65, d = 1.317 Å, intensity 21; 2θ 64.80, d = 1.439 Å, intensity 19; 2θ 79.19, d = 1.210 Å, intensity 15; 2θ 83.44, d = 1.158 Å, intensity 14; 2θ 60.43, d = 1.532 Å, intensity 14


(6)
Calculated powder X-ray diffraction pattern of Dy2Zr3Co2 for copper Kα, from a crystal structure in Alexandria, relaxed with GGA-PBE.

Atomic structure:
```
Dy2Zr3Co2
1.0
11.4238 0.0000 0.0000
0.0000 3.4691 0.0000
-3.4889 0.0000 7.5626
Dy Zr Co
4 6 4
Direct
0.1559 0.0000 0.3002 Dy
0.3441 0.5000 0.6998 Dy
0.6559 0.5000 0.3002 Dy
0.8441 0.0000 0.6998 Dy
0.0000 0.5000 0.5000 Zr
0.1195 0.5000 0.9330 Zr
0.3805 0.0000 0.0670 Zr
0.5000 0.0000 0.5000 Zr
0.6195 0.0000 0.9330 Zr
0.8805 0.5000 0.0670 Zr
0.1546 0.0000 0.7348 Co
0.3454 0.5000 0.2652 Co
0.6546 0.5000 0.7348 Co
0.8454 0.0000 0.2652 Co
```

Principal peaks in the range 10° ≤ 2θ ≤ 90°, most intense first:
2θ 33.65, d = 2.663 Å, intensity 100; 2θ 35.00, d = 2.563 Å, intensity 75; 2θ 37.36, d = 2.407 Å, intensity 73; 2θ 36.70, d = 2.449 Å, intensity 69; 2θ 34.72, d = 2.583 Å, intensity 68; 2θ 31.05, d = 2.880 Å, intensity 56; 2θ 32.34, d = 2.769 Å, intensity 56; 2θ 38.59, d = 2.333 Å, intensity 44; 2θ 34.59, d = 2.593 Å, intensity 41; 2θ 62.96, d = 1.476 Å, intensity 39


(7)
Calculated powder X-ray diffraction pattern of ErCo6 for copper Kα, from a crystal structure in Alexandria, relaxed with GGA-PBE.

Atomic structure:
```
ErCo6
1.0
7.7875 0.0000 0.0000
0.0000 4.7959 0.0000
0.0000 0.0000 9.7780
Er Co
4 24
Direct
0.2395 0.2500 0.0596 Er
0.2605 0.7500 0.5596 Er
0.7395 0.2500 0.4404 Er
0.7605 0.7500 0.9404 Er
0.0654 0.7500 0.0904 Co
0.0695 0.0106 0.3081 Co
0.0695 0.4894 0.3081 Co
0.0911 0.2500 0.5228 Co
0.1397 0.7500 0.8533 Co
0.1838 0.2500 0.7561 Co
0.3162 0.7500 0.2561 Co
0.3603 0.2500 0.3533 Co
0.4089 0.7500 0.0228 Co
0.4305 0.5106 0.8081 Co
0.4305 0.9894 0.8081 Co
0.4346 0.2500 0.5904 Co
0.5654 0.7500 0.4096 Co
0.5695 0.0106 0.1919 Co
0.5695 0.4894 0.1919 Co
0.5911 0.2500 0.9772 Co
0.6397 0.7500 0.6467 Co
0.6838 0.2500 0.7439 Co
0.8162 0.7500 0.2439 Co
0.8603 0.2500 0.1467 Co
0.9089 0.7500 0.4772 Co
0.9305 0.5106 0.6919 Co
0.9305 0.9894 0.6919 Co
0.9346 0.2500 0.9096 Co
```

Principal peaks in the range 10° ≤ 2θ ≤ 90°, most intense first:
2θ 40.58, d = 2.223 Å, intensity 100; 2θ 40.71, d = 2.216 Å, intensity 76; 2θ 38.60, d = 2.332 Å, intensity 59; 2θ 37.51, d = 2.398 Å, intensity 33; 2θ 41.96, d = 2.153 Å, intensity 27; 2θ 48.56, d = 1.875 Å, intensity 26; 2θ 44.37, d = 2.042 Å, intensity 25; 2θ 23.61, d = 3.768 Å, intensity 25; 2θ 47.86, d = 1.901 Å, intensity 23; 2θ 69.76, d = 1.348 Å, intensity 23


(8)
Calculated powder X-ray diffraction pattern of ErCo13 for copper Kα, from a crystal structure in Alexandria, relaxed with GGA-PBE.

Atomic structure:
```
ErCo13
1.0
0.0000 5.5857 5.5857
5.5857 0.0000 5.5857
5.5857 5.5857 0.0000
Er Co
2 26
Direct
0.2500 0.2500 0.2500 Er
0.7500 0.7500 0.7500 Er
0.0000 0.0000 0.0000 Co
0.0581 0.2975 0.7025 Co
0.0581 0.7025 0.9419 Co
0.0581 0.9419 0.2975 Co
0.2025 0.4419 0.7975 Co
0.2025 0.5581 0.4419 Co
0.2025 0.7975 0.5581 Co
0.2975 0.0581 0.9419 Co
0.2975 0.7025 0.0581 Co
0.2975 0.9419 0.7025 Co
0.4419 0.2025 0.5581 Co
0.4419 0.5581 0.7975 Co
0.4419 0.7975 0.2025 Co
0.5000 0.5000 0.5000 Co
0.5581 0.2025 0.7975 Co
0.5581 0.4419 0.2025 Co
0.5581 0.7975 0.4419 Co
0.7025 0.0581 0.2975 Co
0.7025 0.2975 0.9419 Co
0.7025 0.9419 0.0581 Co
0.7975 0.2025 0.4419 Co
0.7975 0.4419 0.5581 Co
0.7975 0.5581 0.2025 Co
0.9419 0.0581 0.7025 Co
0.9419 0.2975 0.0581 Co
0.9419 0.7025 0.2975 Co
```

Principal peaks in the range 10° ≤ 2θ ≤ 90°, most intense first:
2θ 39.52, d = 2.280 Å, intensity 100; 2θ 48.19, d = 1.888 Å, intensity 87; 2θ 35.95, d = 2.498 Å, intensity 61; 2θ 51.75, d = 1.766 Å, intensity 25; 2θ 62.18, d = 1.493 Å, intensity 18; 2θ 69.37, d = 1.355 Å, intensity 17; 2θ 59.69, d = 1.549 Å, intensity 16; 2θ 89.46, d = 1.095 Å, intensity 16; 2θ 85.09, d = 1.140 Å, intensity 15; 2θ 48.92, d = 1.862 Å, intensity 14


(9)
Calculated powder X-ray diffraction pattern of Er5Co4 for copper Kα, from a crystal structure in Alexandria, relaxed with GGA-PBE.

Atomic structure:
```
Er5Co4
1.0
5.2430 -1.9972 0.0000
5.2430 1.9972 0.0000
-3.2670 0.0000 8.7162
Er Co
5 4
Direct
0.0000 0.0000 0.0000 Er
0.1101 0.1101 0.3963 Er
0.2360 0.2360 0.8214 Er
0.7640 0.7640 0.1786 Er
0.8899 0.8899 0.6037 Er
0.4047 0.4047 0.3880 Co
0.4549 0.4549 0.1660 Co
0.5451 0.5451 0.8340 Co
0.5953 0.5953 0.6120 Co
```

Principal peaks in the range 10° ≤ 2θ ≤ 90°, most intense first:
2θ 34.09, d = 2.630 Å, intensity 100; 2θ 33.79, d = 2.653 Å, intensity 88; 2θ 36.72, d = 2.448 Å, intensity 49; 2θ 29.73, d = 3.005 Å, intensity 43; 2θ 45.41, d = 1.997 Å, intensity 43; 2θ 31.89, d = 2.807 Å, intensity 37; 2θ 34.30, d = 2.614 Å, intensity 33; 2θ 40.41, d = 2.232 Å, intensity 33; 2θ 55.23, d = 1.663 Å, intensity 30; 2θ 66.71, d = 1.402 Å, intensity 24


(10)
Calculated powder X-ray diffraction pattern of Er4Co for copper Kα, from a crystal structure in Alexandria, relaxed with GGA-PBE.

Atomic structure:
```
Er4Co
1.0
5.2152 0.0000 0.0000
0.0000 5.2152 0.0000
0.0000 0.0000 5.2152
Er Co
4 1
Direct
0.0000 0.0000 0.0000 Er
0.0000 0.5000 0.5000 Er
0.5000 0.0000 0.5000 Er
0.5000 0.5000 0.0000 Er
0.5000 0.5000 0.5000 Co
```

Principal peaks in the range 10° ≤ 2θ ≤ 90°, most intense first:
2θ 29.67, d = 3.011 Å, intensity 100; 2θ 34.39, d = 2.608 Å, intensity 75; 2θ 49.43, d = 1.844 Å, intensity 54; 2θ 58.72, d = 1.572 Å, intensity 45; 2θ 82.76, d = 1.166 Å, intensity 24; 2θ 80.23, d = 1.196 Å, intensity 18; 2θ 61.60, d = 1.505 Å, intensity 18; 2θ 72.50, d = 1.304 Å, intensity 9; 2θ 17.00, d = 5.215 Å, intensity 3; 2θ 24.13, d = 3.688 Å, intensity 3


(11)
Calculated powder X-ray diffraction pattern of Er4Co3 for copper Kα, from a crystal structure in Alexandria, relaxed with GGA-PBE.

Atomic structure:
```
Er4Co3
1.0
11.1515 0.0000 0.0000
-5.5757 9.6574 0.0000
0.0000 0.0000 3.9979
Er Co
12 9
Direct
0.0240 0.2465 0.2505 Er
0.1351 0.6205 0.2511 Er
0.2226 0.9760 0.2505 Er
0.2465 0.2226 0.7495 Er
0.3795 0.5147 0.2511 Er
0.4853 0.8649 0.2511 Er
0.5147 0.1351 0.7489 Er
0.6205 0.4853 0.7489 Er
0.7535 0.7774 0.2505 Er
0.7774 0.0240 0.7495 Er
0.8649 0.3795 0.7489 Er
0.9760 0.7535 0.7495 Er
0.0000 0.0000 0.5000 Co
0.1558 0.4372 0.7485 Co
0.2814 0.8442 0.7485 Co
0.3333 0.6667 0.7519 Co
0.4372 0.2814 0.2515 Co
0.5628 0.7186 0.7485 Co
0.6667 0.3333 0.2481 Co
0.7186 0.1558 0.2515 Co
0.8442 0.5628 0.2515 Co
```

Principal peaks in the range 10° ≤ 2θ ≤ 90°, most intense first:
2θ 33.24, d = 2.696 Å, intensity 100; 2θ 33.45, d = 2.678 Å, intensity 35; 2θ 35.81, d = 2.507 Å, intensity 28; 2θ 64.62, d = 1.442 Å, intensity 22; 2θ 42.91, d = 2.107 Å, intensity 21; 2θ 45.37, d = 1.999 Å, intensity 17; 2θ 57.53, d = 1.602 Å, intensity 13; 2θ 55.33, d = 1.660 Å, intensity 12; 2θ 39.40, d = 2.287 Å, intensity 10; 2θ 64.22, d = 1.450 Å, intensity 10


(12)
Calculated powder X-ray diffraction pattern of EuErCo4 for copper Kα, from a crystal structure in Alexandria, relaxed with GGA-PBE.

Atomic structure:
```
EuErCo4
1.0
0.0000 3.6077 3.6077
3.6077 0.0000 3.6077
3.6077 3.6077 0.0000
Eu Er Co
1 1 4
Direct
0.0000 0.0000 0.0000 Eu
0.2500 0.2500 0.2500 Er
0.1267 0.6244 0.6244 Co
0.6244 0.1267 0.6244 Co
0.6244 0.6244 0.1267 Co
0.6244 0.6244 0.6244 Co
```

Principal peaks in the range 10° ≤ 2θ ≤ 90°, most intense first:
2θ 41.51, d = 2.176 Å, intensity 100; 2θ 35.18, d = 2.551 Å, intensity 66; 2θ 67.45, d = 1.389 Å, intensity 30; 2θ 63.13, d = 1.473 Å, intensity 24; 2θ 74.37, d = 1.276 Å, intensity 22; 2θ 43.45, d = 2.083 Å, intensity 15; 2θ 21.33, d = 4.166 Å, intensity 15; 2θ 88.95, d = 1.100 Å, intensity 11; 2θ 85.02, d = 1.141 Å, intensity 11; 2θ 55.51, d = 1.655 Å, intensity 4